(1)
# Y2ErTm2
Theoretical XRD peak list, Cu Kα. Input: the GGA-PBE geometry in Alexandria.
Kinematic intensities with the Lorentz-polarization factor, no thermal factor.

Largest 10 diffraction maxima, sorted by position, 15° ≤ 2θ ≤ 90°:
2θ (°)  I_rel
31.08  100
36.04  50
51.87  30
51.91  6
61.72  42
64.78  9
76.43  6
84.75  12
84.81  6
87.50  11

```
Y2ErTm2
1.0
14.5335 0.0000 0.0000
0.0000 7.0521 0.0000
-0.8590 0.0000 6.0425
Y Er Tm
8 4 8
direct
0.1004 0.1249 0.4508
0.1004 0.3751 0.9508
0.3011 0.6247 0.8506
0.3011 0.8753 0.3506
0.6989 0.1247 0.6494
0.6989 0.3753 0.1494
0.8996 0.6249 0.0492
0.8996 0.8751 0.5492
0.3013 0.1255 0.8519
0.3013 0.3745 0.3519
0.6987 0.6255 0.6481
0.6987 0.8745 0.1481
0.1002 0.6250 0.4505
0.1002 0.8750 0.9505
0.4998 0.1249 0.2487
0.4998 0.3751 0.7487
0.5002 0.6249 0.2513
0.5002 0.8751 0.7513
0.8998 0.1250 0.0495
0.8998 0.3750 0.5495
```


(2)
# Tm3Al11
Theoretical XRD peak list, Cu Kα. Input: the GGA-PBE geometry in Alexandria.
Kinematic intensities with the Lorentz-polarization factor, no thermal factor.

Largest 10 diffraction maxima, sorted by position, 15° ≤ 2θ ≤ 90°:
2θ (°)  I_rel
17.91  40
22.75  100
29.71  37
34.39  71
34.91  91
36.32  24
42.40  21
42.62  13
50.85  22
55.71  20

```
Tm3Al11
1.0
-2.1316 4.9520 6.3640
2.1316 -4.9520 6.3640
2.1316 4.9520 -6.3640
Tm Al
3 11
direct
0.0000 0.0000 0.0000
0.3123 0.3123 0.0000
0.6877 0.6877 0.0000
0.0325 0.6613 0.3712
0.1399 0.8609 0.2790
0.2901 0.6613 0.6288
0.2962 0.5000 0.7962
0.4181 0.1391 0.2790
0.5000 0.0000 0.5000
0.5819 0.8609 0.7210
0.7038 0.5000 0.2038
0.7099 0.3387 0.3712
0.8601 0.1391 0.7210
0.9675 0.3387 0.6288
```


(3)
# Y3BeI3
Theoretical XRD peak list, Cu Kα. Input: the GGA-PBE geometry in Alexandria.
Kinematic intensities with the Lorentz-polarization factor, no thermal factor.

Largest 10 diffraction maxima, sorted by position, 15° ≤ 2θ ≤ 90°:
2θ (°)  I_rel
18.06  14
27.74  49
29.70  100
34.97  26
42.50  67
52.70  21
56.17  20
60.59  16
69.92  22
77.76  15

```
Y3BeI3
1.0
-6.0166 6.0166 6.0166
6.0166 -6.0166 6.0166
6.0166 6.0166 -6.0166
Y Be I
12 4 12
direct
0.0214 0.0428 0.2714
0.0214 0.4786 0.7500
0.0428 0.2714 0.0214
0.2286 0.2714 0.7500
0.2286 0.4572 0.4786
0.2714 0.0214 0.0428
0.2714 0.7500 0.2286
0.4572 0.4786 0.2286
0.4786 0.2286 0.4572
0.4786 0.7500 0.0214
0.7500 0.0214 0.4786
0.7500 0.2286 0.2714
0.0000 0.2500 0.5000
0.2500 0.2500 0.2500
0.2500 0.5000 0.0000
0.5000 0.0000 0.2500
0.2500 0.7586 0.7414
0.2500 0.9914 0.5086
0.5086 0.2500 0.9914
0.5086 0.7586 0.5172
0.5172 0.5086 0.7586
0.7414 0.2500 0.7586
0.7414 0.9914 0.9828
0.7586 0.5172 0.5086
0.7586 0.7414 0.2500
0.9828 0.7414 0.9914
0.9914 0.5086 0.2500
0.9914 0.9828 0.7414
```


(4)
# Dy7SbS5
Theoretical XRD peak list, Cu Kα. Input: the GGA-PBE geometry in Alexandria.
Kinematic intensities with the Lorentz-polarization factor, no thermal factor.

Largest 10 diffraction maxima, sorted by position, 15° ≤ 2θ ≤ 90°:
2θ (°)  I_rel
28.04  66
30.13  100
30.33  33
31.69  98
32.85  56
42.12  21
45.72  33
46.37  26
55.73  36
76.47  20

```
Dy7SbS5
1.0
1.9843 -6.4180 0.0000
1.9843 6.4180 0.0000
0.0000 0.0000 23.4165
Dy Sb S
14 2 10
direct
0.0176 0.9824 0.7500
0.1372 0.8628 0.0368
0.1372 0.8628 0.4632
0.3210 0.6790 0.6732
0.3210 0.6790 0.8268
0.4070 0.5930 0.1123
0.4070 0.5930 0.3877
0.5930 0.4070 0.6123
0.5930 0.4070 0.8877
0.6790 0.3210 0.1732
0.6790 0.3210 0.3268
0.8628 0.1372 0.5368
0.8628 0.1372 0.9632
0.9824 0.0176 0.2500
0.3032 0.6968 0.2500
0.6968 0.3032 0.7500
0.0453 0.9547 0.1403
0.0453 0.9547 0.3597
0.2250 0.7750 0.5700
0.2250 0.7750 0.9300
0.5000 0.5000 0.0000
0.5000 0.5000 0.5000
0.7750 0.2250 0.0700
0.7750 0.2250 0.4300
0.9547 0.0453 0.6403
0.9547 0.0453 0.8597
```


(5)
# Y5Th3Sb8
Theoretical XRD peak list, Cu Kα. Input: the GGA-PBE geometry in Alexandria.
Kinematic intensities with the Lorentz-polarization factor, no thermal factor.

Largest 10 diffraction maxima, sorted by position, 15° ≤ 2θ ≤ 90°:
2θ (°)  I_rel
23.49  8
28.45  100
40.61  38
40.73  38
50.33  20
50.53  7
58.87  13
66.58  18
66.74  17
73.95  19

```
Y5Th3Sb8
1.0
4.4428 2.5651 7.2254
-4.4428 2.5651 7.2254
0.0000 -5.1301 7.2254
Y Th Sb
5 3 8
direct
0.0000 0.0000 0.0000
0.0000 0.5000 0.5000
0.5000 0.0000 0.5000
0.5000 0.5000 0.0000
0.5000 0.5000 0.5000
0.0000 0.0000 0.5000
0.0000 0.5000 0.0000
0.5000 0.0000 0.0000
0.2500 0.2500 0.7447
0.2500 0.7447 0.2500
0.2530 0.2530 0.2530
0.2553 0.7500 0.7500
0.7447 0.2500 0.2500
0.7470 0.7470 0.7470
0.7500 0.2553 0.7500
0.7500 0.7500 0.2553
```


(6)
# HfFeNi6
Theoretical XRD peak list, Cu Kα. Input: the GGA-PBE geometry in Alexandria.
Kinematic intensities with the Lorentz-polarization factor, no thermal factor.

Largest 10 diffraction maxima, sorted by position, 15° ≤ 2θ ≤ 90°:
2θ (°)  I_rel
24.44  9
31.32  4
34.84  8
43.01  100
50.03  31
50.22  16
73.45  9
73.60  18
89.08  22
89.37  11

```
HfFeNi6
1.0
3.6335 -5.1573 0.0000
3.6335 5.1573 0.0000
0.0000 0.0000 10.3125
Hf Fe Ni
4 4 24
direct
0.0000 0.0000 0.2471
0.0000 0.0000 0.7529
0.2456 0.7544 0.5000
0.7544 0.2456 0.5000
0.2442 0.7558 0.0000
0.5000 0.5000 0.2446
0.5000 0.5000 0.7554
0.7558 0.2442 0.0000
0.0000 0.0000 0.0000
0.0000 0.0000 0.5000
0.1300 0.3854 0.1202
0.1300 0.3854 0.8798
0.1355 0.3810 0.3698
0.1355 0.3810 0.6302
0.2536 0.7464 0.2418
0.2536 0.7464 0.7582
0.3810 0.1355 0.3698
0.3810 0.1355 0.6302
0.3854 0.1300 0.1202
0.3854 0.1300 0.8798
0.5000 0.5000 0.0000
0.5000 0.5000 0.5000
0.6146 0.8700 0.1202
0.6146 0.8700 0.8798
0.6190 0.8645 0.3698
0.6190 0.8645 0.6302
0.7464 0.2536 0.2418
0.7464 0.2536 0.7582
0.8645 0.6190 0.3698
0.8645 0.6190 0.6302
0.8700 0.6146 0.1202
0.8700 0.6146 0.8798
```


(7)
# MgUNi5
Theoretical XRD peak list, Cu Kα. Input: the GGA-PBE geometry in Alexandria.
Kinematic intensities with the Lorentz-polarization factor, no thermal factor.

Largest 10 diffraction maxima, sorted by position, 15° ≤ 2θ ≤ 90°:
2θ (°)  I_rel
17.46  96
27.32  67
29.19  59
39.38  34
42.42  100
42.71  98
46.20  33
47.44  36
50.59  59
71.87  40

```
MgUNi5
1.0
2.5636 -3.8332 0.0000
2.5636 3.8332 0.0000
0.0000 0.0000 5.0787
Mg U Ni
1 1 5
direct
0.0000 0.0000 0.0000
0.5000 0.5000 0.5000
0.0000 0.0000 0.5000
0.0000 0.5000 0.2485
0.0000 0.5000 0.7515
0.5000 0.0000 0.2485
0.5000 0.0000 0.7515
```


(8)
# Tl3Co5
Theoretical XRD peak list, Cu Kα. Input: the GGA-PBE geometry in Alexandria.
Kinematic intensities with the Lorentz-polarization factor, no thermal factor.

Largest 10 diffraction maxima, sorted by position, 15° ≤ 2θ ≤ 90°:
2θ (°)  I_rel
27.26  40
27.69  37
28.63  35
32.89  25
34.02  42
38.21  39
39.23  100
39.78  37
40.11  41
40.25  88

```
Tl3Co5
1.0
3.2720 -6.4441 0.0000
3.2720 6.4441 0.0000
-3.2230 0.0000 6.2356
Tl Co
6 10
direct
0.0000 0.0000 0.0000
0.0080 0.5825 0.5585
0.2094 0.7098 0.0787
0.5825 0.0080 0.5585
0.5862 0.5862 0.1269
0.7098 0.2094 0.0787
0.0999 0.2933 0.7691
0.1232 0.9442 0.3917
0.2729 0.4799 0.3521
0.2933 0.0999 0.7691
0.3969 0.3969 0.6285
0.4488 0.7311 0.7980
0.4799 0.2729 0.3521
0.7311 0.4488 0.7980
0.7469 0.7469 0.5726
0.9442 0.1232 0.3917
```